Structure and simulated powder diffraction line list of LiNiPO4 (a GGA+U-relaxed structure; Cu Kα).

a = 5.6198 Å, b = 10.5537 Å, c = 9.9560 Å
α = 90.00°, β = 91.77°, γ = 90.00°
Space group P2_1/c (No. 14)
Asymmetric unit:
1 Li 0.1113 0.1633 0.3584
2 Li 0.3719 0.6416 0.1129
3 Ni 0.1538 0.6233 0.5143
4 Ni 0.3801 0.0927 0.7685
5 P 0.1233 0.6085 0.8387
6 P 0.3751 0.1457 0.0907
7 O 0.0943 0.0167 0.6668
8 O 0.1105 0.6925 0.9675
9 O 0.1266 0.6927 0.7082
10 O 0.1528 0.0587 0.0759
11 O 0.3350 0.2333 0.2100
12 O 0.3558 0.5269 0.8497
13 O 0.3954 0.5662 0.3759
14 O 0.4175 0.2140 0.9552

Largest 6 diffraction maxima, in order of rising 2θ, 10 to 90 degrees two-theta:
d 7.240, I = 100, hkl 0 1 1
d 4.662, I = 59, hkl 0 2 1
d 2.793, I = 49, hkl 1 1 -3
d 2.714, I = 66, hkl 2 1 0
d 2.638, I = 22, hkl 0 4 0
d 2.486, I = 45, hkl 1 2 3


Structure and simulated powder diffraction line list of LiNiPO4 (a GGA+U-relaxed structure; Cu Kα).

a = 6.1944 Å, b = 8.2372 Å, c = 5.4266 Å
α = 90.00°, β = 90.00°, γ = 90.00°
Space group Ama2 (No. 40)
Asymmetric unit:
1 Li 0.2500 0.1708 0.0000
2 Ni 0.0000 0.0000 0.4990
3 P 0.2500 0.3497 0.4989
4 O 0.0456 0.2452 0.4991
5 O 0.2500 0.4674 0.2679
6 O 0.2500 0.4677 0.7295

Largest 6 diffraction maxima, in order of rising 2θ, 10 to 90 degrees two-theta:
d 4.532, I = 44, hkl 0 1 1
d 3.657, I = 34, hkl 1 1 1
d 2.713, I = 38, hkl 0 0 2
d 2.557, I = 100, hkl 2 1 1
d 2.450, I = 47, hkl 0 3 1
d 1.450, I = 37, hkl 2 4 2


Structure and simulated powder diffraction line list of LiNiPO4 (a GGA+U-relaxed structure; Cu Kα).

a = 5.9477 Å, b = 10.0633 Å, c = 10.0260 Å
α = 90.00°, β = 94.17°, γ = 90.00°
Space group P2_1/c (No. 14)
Asymmetric unit:
1 Li 0.1360 0.0657 0.2685
2 Li 0.3618 0.5944 0.5355
3 Ni 0.1187 0.7087 0.8688
4 Ni 0.3829 0.1685 0.6321
5 P 0.1284 0.1439 0.8958
6 P 0.3573 0.6086 0.1491
7 O 0.0951 0.5705 0.6275
8 O 0.1214 0.2437 0.0162
9 O 0.1412 0.5258 0.1380
10 O 0.1516 0.2333 0.7662
11 O 0.3351 0.0578 0.9170
12 O 0.3634 0.7092 0.2705
13 O 0.3754 0.6942 0.0166
14 O 0.4395 0.0128 0.3341

Largest 6 diffraction maxima, in order of rising 2θ, 10 to 90 degrees two-theta:
d 5.032, I = 83, hkl 0 2 0
d 4.486, I = 100, hkl 0 2 1
d 4.439, I = 76, hkl 1 1 1
d 2.786, I = 84, hkl 0 3 2
d 2.778, I = 70, hkl 0 2 3
d 2.220, I = 49, hkl 2 2 2


Number 3 is which compound?
LiNiPO4